# 1
Diffraction record for NdP3. The powder diffraction line list is calculated, not measured: it uses the GGA-PBE geometry in the Materials Project and copper Kα.

Structure:
Cell: 5.589 5.589 5.589 Å, 138.06 138.06 60.81°
Fractional coordinates of all 4 atoms:
Nd (0.000, 0.000, 0.000)
P (0.250, 0.750, 0.500)
P (0.500, 0.500, 0.000)
P (0.750, 0.250, 0.500)

The 10 most intense peaks (10° ≤ 2θ ≤ 90°), low angle first:
| Position (°2θ) | d/Å | Rel. int. |
| --- | --- | --- |
| 18.41 | 4.820 | 32 |
| 24.09 | 3.695 | 68 |
| 31.63 | 2.829 | 17 |
| 35.85 | 2.505 | 25 |
| 36.84 | 2.440 | 100 |
| 37.31 | 2.410 | 24 |
| 45.34 | 2.000 | 27 |
| 51.99 | 1.759 | 18 |
| 60.12 | 1.539 | 23 |
| 78.11 | 1.224 | 22 |

=====

# 2
Diffraction record for Nd2S3O12. The powder diffraction line list is calculated, not measured: it uses the GGA-PBE geometry in the Materials Project and copper Kα.

Structure:
Cell: 11.350 11.350 7.003 Å, 106.35 106.35 34.61°
Fractional coordinates of all 34 atoms:
Nd (0.014, 0.722, 0.869)
Nd (0.278, 0.986, 0.631)
Nd (0.722, 0.014, 0.369)
Nd (0.986, 0.278, 0.131)
S (0.133, 0.500, 0.322)
S (0.166, 0.834, 0.750)
S (0.500, 0.133, 0.822)
S (0.500, 0.867, 0.178)
S (0.834, 0.166, 0.250)
S (0.867, 0.500, 0.678)
O (0.018, 0.628, 0.504)
O (0.021, 0.091, 0.356)
O (0.037, 0.659, 0.198)
O (0.091, 0.021, 0.856)
O (0.102, 0.396, 0.210)
O (0.261, 0.691, 0.890)
O (0.309, 0.739, 0.610)
O (0.341, 0.963, 0.302)
O (0.349, 0.356, 0.874)
O (0.356, 0.349, 0.374)
O (0.372, 0.982, 0.996)
O (0.396, 0.102, 0.710)
O (0.604, 0.898, 0.290)
O (0.628, 0.018, 0.004)
O (0.644, 0.651, 0.626)
O (0.651, 0.644, 0.126)
O (0.659, 0.037, 0.698)
O (0.691, 0.261, 0.390)
O (0.739, 0.309, 0.110)
O (0.898, 0.604, 0.790)
O (0.909, 0.979, 0.144)
O (0.963, 0.341, 0.802)
O (0.979, 0.909, 0.644)
O (0.982, 0.372, 0.496)

The 10 most intense peaks (10° ≤ 2θ ≤ 90°), low angle first:
| Position (°2θ) | d/Å | Rel. int. |
| --- | --- | --- |
| 13.79 | 6.420 | 100 |
| 17.13 | 5.177 | 96 |
| 20.02 | 4.434 | 92 |
| 25.45 | 3.500 | 70 |
| 29.64 | 3.014 | 68 |
| 29.75 | 3.003 | 41 |
| 30.40 | 2.940 | 36 |
| 31.27 | 2.861 | 36 |
| 32.12 | 2.787 | 51 |
| 42.19 | 2.142 | 32 |

=====

# 3
Diffraction record for As. The powder diffraction line list is calculated, not measured: it uses the GGA-PBE geometry in the Materials Project and copper Kα.

Structure:
Cell: 6.013 6.013 4.686 Å, 90.00 90.00 144.10°
Fractional coordinates of all 4 atoms:
As (0.106, 0.894, 0.931)
As (0.394, 0.606, 0.431)
As (0.606, 0.394, 0.569)
As (0.894, 0.106, 0.069)

The 10 most intense peaks (10° ≤ 2θ ≤ 90°), low angle first:
| Position (°2θ) | d/Å | Rel. int. |
| --- | --- | --- |
| 15.49 | 5.721 | 16 |
| 24.56 | 3.625 | 31 |
| 31.27 | 2.860 | 40 |
| 31.76 | 2.818 | 100 |
| 38.96 | 2.312 | 16 |
| 46.53 | 1.952 | 15 |
| 49.16 | 1.853 | 14 |
| 50.78 | 1.798 | 41 |
| 52.03 | 1.758 | 23 |
| 59.43 | 1.555 | 12 |

=====

# 4
Diffraction record for Cs2NiAs2. The powder diffraction line list is calculated, not measured: it uses the GGA-PBE geometry in the Materials Project and copper Kα.

Structure:
Cell: 8.188 8.188 6.200 Å, 90.00 90.00 126.92°
Fractional coordinates of all 10 atoms:
Cs (0.090, 0.910, 0.750)
Cs (0.293, 0.707, 0.250)
Cs (0.707, 0.293, 0.750)
Cs (0.910, 0.090, 0.250)
Ni (0.500, 0.500, 0.000)
Ni (0.500, 0.500, 0.500)
As (0.244, 0.424, 0.750)
As (0.424, 0.244, 0.250)
As (0.576, 0.756, 0.750)
As (0.756, 0.576, 0.250)

The 10 most intense peaks (10° ≤ 2θ ≤ 90°), low angle first:
| Position (°2θ) | d/Å | Rel. int. |
| --- | --- | --- |
| 24.33 | 3.659 | 22 |
| 26.23 | 3.398 | 100 |
| 28.80 | 3.100 | 27 |
| 30.89 | 2.894 | 47 |
| 32.93 | 2.720 | 18 |
| 47.39 | 1.918 | 13 |
| 47.86 | 1.901 | 16 |
| 48.57 | 1.875 | 22 |
| 49.48 | 1.842 | 17 |
| 57.45 | 1.604 | 14 |